Computed powder XRD pattern
Compound: DyS4
Radiation: Cu Kα (weighted mean of Kα1 and Kα2)
Structure: a DFT-relaxed cell (PBE, OQMD)
Intensities are scaled so that the largest is 100.

The 6 most intense peaks (2θ = 15–90°), sorted by position:
2θ = 21.6°, rel. 62.6, (0 2 0)
2θ = 24.2°, rel. 100.0, (0 2 1)
2θ = 31.6°, rel. 58.7, (2 0 1)
2θ = 34.3°, rel. 59.4, (2 2 0)
2θ = 36.1°, rel. 58.1, (2 2 -2)
2θ = 41.8°, rel. 57.1, (2 2 -3)

Structure:
```
data_DyS4
_space_group_name_H-M_alt 'C 1 2/m 1'
_space_group_IT_number 12
_cell_length_a 7.117
_cell_length_b 8.247
_cell_length_c 8.557
_cell_angle_alpha 90.00
_cell_angle_beta 108.08
_cell_angle_gamma 90.00
loop_
_space_group_symop_operation_xyz
'x,y,z'
'-x,-y,-z'
'-x,y,-z'
'x,-y,z'
'x+1/2,y+1/2,z'
'-x+1/2,-y+1/2,-z'
'-x+1/2,y+1/2,-z'
'x+1/2,-y+1/2,z'
loop_
_atom_site_label
_atom_site_type_symbol
_atom_site_fract_x
_atom_site_fract_y
_atom_site_fract_z
Dy1 Dy 0.000 0.245 0.000
S1 S 0.148 0.214 0.720
S2 S 0.166 0.000 0.605
S3 S 0.215 0.500 0.919
```

Computed powder XRD pattern
Compound: Y5Mg16Cu5
Radiation: Cu Kα (weighted mean of Kα1 and Kα2)
Structure: a DFT-relaxed cell (PBE, OQMD)
Intensities are scaled so that the largest is 100.

The 6 most intense peaks (2θ = 15–90°), sorted by position:
2θ = 32.0°, rel. 57.7, (1 5 0)
2θ = 33.8°, rel. 100.0, (1 3 7)
2θ = 34.3°, rel. 78.0, (1 5 4)
2θ = 35.6°, rel. 78.7, (1 5 5)
2θ = 38.3°, rel. 53.2, (1 1 10)
2θ = 44.1°, rel. 55.7, (2 0 0)

Structure:
```
data_Y5Mg16Cu5
_space_group_name_H-M_alt 'C m c m'
_space_group_IT_number 63
_space_group_name_Hall '-C 2c 2'
_cell_length_a 4.109
_cell_length_b 19.109
_cell_length_c 29.011
_cell_angle_alpha 90.00
_cell_angle_beta 90.00
_cell_angle_gamma 90.00
loop_
_atom_site_label
_atom_site_type_symbol
_atom_site_fract_x
_atom_site_fract_y
_atom_site_fract_z
Y1 Y 0.000 0.088 0.123
Y2 Y 0.000 0.105 0.657
Y3 Y 0.000 0.127 0.250
Mg1 Mg 0.000 0.047 0.546
Mg2 Mg 0.000 0.191 0.011
Mg3 Mg 0.000 0.234 0.750
Mg4 Mg 0.000 0.257 0.168
Mg5 Mg 0.000 0.279 0.591
Mg6 Mg 0.000 0.338 0.071
Mg7 Mg 0.000 0.378 0.250
Mg8 Mg 0.000 0.425 0.533
Mg9 Mg 0.000 0.482 0.696
Cu1 Cu 0.000 0.029 0.750
Cu2 Cu 0.000 0.335 0.680
Cu3 Cu 0.000 0.475 0.105
```

Computed powder XRD pattern
Compound: HoCo2GeB
Radiation: Cu Kα (weighted mean of Kα1 and Kα2)
Structure: a DFT-relaxed cell (PBE, OQMD)
Intensities are scaled so that the largest is 100.

The 6 most intense peaks (2θ = 15–90°), sorted by position:
2θ = 25.5°, rel. 46.0, (1 0 1)
2θ = 37.0°, rel. 70.7, (1 0 3)
2θ = 38.9°, rel. 100.0, (1 1 2)
2θ = 48.6°, rel. 40.6, (2 0 0)
2θ = 53.7°, rel. 21.3, (1 0 5)
2θ = 62.6°, rel. 30.0, (2 1 3)

Structure:
```
data_HoCo2GeB
_space_group_name_H-M_alt 'I 4 m m'
_space_group_IT_number 107
_space_group_name_Hall 'I 4 -2'
_cell_length_a 3.743
_cell_length_b 3.743
_cell_length_c 9.589
_cell_angle_alpha 90.00
_cell_angle_beta 90.00
_cell_angle_gamma 90.00
loop_
_atom_site_label
_atom_site_type_symbol
_atom_site_fract_x
_atom_site_fract_y
_atom_site_fract_z
Ho1 Ho 0.000 0.000 0.000
Co1 Co 0.000 0.500 0.224
Ge1 Ge 0.000 0.000 0.369
B1 B 0.000 0.000 0.630
```